# 1
Starting from the PBE geometry in the Materials Project, the powder diffractogram of Zr2V6Sb9 was calculated for Cu Ka.
Neutral-atom scattering factors, no anomalous dispersion.

Cell and atoms:
Unit cell a=9.7666 b=9.7666 c=7.2415 alpha=90.00 beta=90.00 gamma=90.00
Space group P4/nmm (No. 129, origin choice 2)
Inequivalent atoms, fractional coordinates:
Zr  0.2500  0.2500  0.0853
Zr  0.2500  0.2500  0.5870
V  0.0000  0.0000  0.0000
V  0.1111  0.7500  0.8407
Sb  0.0019  0.2500  0.8173
Sb  0.0773  0.0773  0.3469
Sb  0.2500  0.7500  0.5000

Main lines, in order of rising 2θ (10° ≤ 2θ ≤ 90°):
hkl 3 0 1, 2θ = 30.10°, intensity 60; hkl 2 1 2, 2θ = 32.11°, intensity 76; hkl 3 2 1, 2θ = 35.38°, intensity 100; hkl 2 2 2, 2θ = 35.94°, intensity 65; hkl 4 0 0, 2θ = 36.81°, intensity 45; hkl 3 0 2, 2θ = 37.14°, intensity 63; hkl 4 1 1, 2θ = 40.05°, intensity 49; hkl 2 0 3, 2θ = 41.74°, intensity 38; hkl 2 2 3, 2θ = 45.87°, intensity 37; hkl 6 3 2, 2θ = 69.60°, intensity 43

# 2
Starting from the PBE geometry in the Materials Project, the powder diffractogram of TbPaO4 was calculated for Cu Ka.
Neutral-atom scattering factors, no anomalous dispersion.

Cell and atoms:
Unit cell a=3.8162 b=3.8162 c=5.4158 alpha=90.00 beta=90.00 gamma=90.00
Space group P4/mmm (No. 123)
Inequivalent atoms, fractional coordinates:
Tb  0.0000  0.0000  0.0000
Pa  0.5000  0.5000  0.5000
O  0.0000  0.5000  0.2612

Main lines, in order of rising 2θ (10° ≤ 2θ ≤ 90°):
hkl 1 0 1, 2θ = 28.61°, intensity 100; hkl 0 0 2, 2θ = 33.08°, intensity 12; hkl 1 1 0, 2θ = 33.20°, intensity 23; hkl 2 0 0, 2θ = 47.60°, intensity 51; hkl 1 0 3, 2θ = 56.38°, intensity 15; hkl 2 1 1, 2θ = 56.54°, intensity 31; hkl 2 0 2, 2θ = 59.24°, intensity 10; hkl 2 1 3, 2θ = 76.87°, intensity 13; hkl 2 2 2, 2θ = 79.37°, intensity 9; hkl 3 1 2, 2θ = 88.75°, intensity 11

# 3
Starting from the PBE geometry in the Materials Project, the powder diffractogram of Cs2PO3F was calculated for Cu Ka.
Neutral-atom scattering factors, no anomalous dispersion.

Cell and atoms:
Unit cell a=8.5055 b=6.4723 c=11.2068 alpha=90.00 beta=90.00 gamma=90.00
Space group Pnma (No. 62)
Inequivalent atoms, fractional coordinates:
Cs  0.0007  0.2500  0.2144
Cs  0.1753  0.2500  0.5822
P  0.2475  0.2500  0.9165
O  0.2007  0.7500  0.5469
O  0.2186  0.5508  0.3487
F  0.0500  0.2500  0.9261

Main lines, in order of rising 2θ (10° ≤ 2θ ≤ 90°):
hkl 1 1 2, 2θ = 23.46°, intensity 20; hkl 2 1 0, 2θ = 25.05°, intensity 12; hkl 2 1 1, 2θ = 26.31°, intensity 84; hkl 0 2 0, 2θ = 27.57°, intensity 100; hkl 3 0 1, 2θ = 32.58°, intensity 16; hkl 1 0 4, 2θ = 33.68°, intensity 16; hkl 2 2 2, 2θ = 38.47°, intensity 29; hkl 3 1 4, 2θ = 47.75°, intensity 16; hkl 2 3 1, 2θ = 47.98°, intensity 14; hkl 0 3 3, 2θ = 48.74°, intensity 14